Computed XRD peak list
Compound: K2RhF6
Radiation: Cu Kα, 1.54184 Å
Structure: the GGA-PBE geometry in Alexandria
No peak broadening, texture or thermal motion is included.

Main lines, sorted by position (10 to 90 degrees two-theta):
- (1 0 0), d 5.060, 17.5 deg, rel. 64.4
- (0 0 1), d 4.754, 18.7 deg, rel. 25.5
- (1 0 1), d 3.465, 25.7 deg, rel. 100.0
- (1 1 0), d 2.921, 30.6 deg, rel. 44.3
- (0 2 1), d 2.233, 40.4 deg, rel. 72.5
- (0 1 2), d 2.151, 42.0 deg, rel. 26.3
- (2 1 1), d 1.774, 51.5 deg, rel. 26.3
- (2 0 2), d 1.732, 52.8 deg, rel. 30.5
- (1 2 2), d 1.490, 62.3 deg, rel. 18.9
- (2 2 0), d 1.461, 63.7 deg, rel. 18.0

Crystal structure
```
9
Lattice="5.843 0.000 0.000 -2.921 5.060 0.000 0.000 0.000 4.754" Properties=species:S:1:pos:R:3 pbc="T T T"
K 0.000 3.373 1.009
K 2.921 1.687 3.745
Rh 0.000 0.000 2.377
F 0.000 1.632 3.452
F -1.508 4.244 3.452
F 1.414 0.816 1.302
F 1.508 4.244 3.452
F 4.429 0.816 1.302
F 2.921 3.428 1.302
```